1.
Calculated X-ray diffraction stick pattern
Compound: NdAs2Au4
Radiation: λ = 1.5418 Å (Cu Kα)
Structure: a DFT-relaxed cell (GGA-PBE, Alexandria)
Peak positions follow from Bragg's law for the DFT cell and can differ from measured ones.

Top 10 peaks for 5 to 70 degrees two-theta, in order of falling intensity:
d = 2.800 Å, intensity 1000
d = 2.399 Å, intensity 716
d = 2.212 Å, intensity 619
d = 2.551 Å, intensity 463
d = 2.220 Å, intensity 417
d = 1.956 Å, intensity 309
d = 5.704 Å, intensity 279
d = 1.516 Å, intensity 264
d = 1.674 Å, intensity 264
d = 1.468 Å, intensity 245

Structure:
```
NdAs2Au4
1.0
8.0667 0.0000 0.0000
0.0000 8.0667 0.0000
0.0000 0.0000 4.4391
Nd As Au
2 4 8
Direct
0.0000 0.0000 0.0000 Nd
0.5000 0.5000 0.5000 Nd
0.2166 0.2166 0.5000 As
0.2834 0.7166 0.0000 As
0.7166 0.2834 0.0000 As
0.7834 0.7834 0.5000 As
0.0850 0.6639 0.5000 Au
0.1639 0.4150 0.0000 Au
0.3361 0.9150 0.5000 Au
0.4150 0.1639 0.0000 Au
0.5850 0.8361 0.0000 Au
0.6639 0.0850 0.5000 Au
0.8361 0.5850 0.0000 Au
0.9150 0.3361 0.5000 Au
```


2.
Calculated X-ray diffraction stick pattern
Compound: Li3TlCl6
Radiation: λ = 1.5418 Å (Cu Kα)
Structure: a DFT-relaxed cell (GGA-PBE, Alexandria)
Peak positions follow from Bragg's law for the DFT cell and can differ from measured ones.

Top 10 peaks for 5 to 70 degrees two-theta, in order of falling intensity:
d = 5.380 Å, intensity 1000
d = 2.858 Å, intensity 848
d = 4.770 Å, intensity 829
d = 2.198 Å, intensity 516
d = 5.957 Å, intensity 406
d = 3.502 Å, intensity 371
d = 1.880 Å, intensity 283
d = 2.075 Å, intensity 272
d = 3.019 Å, intensity 259
d = 2.786 Å, intensity 205

Structure:
```
Li3TlCl6
1.0
3.2569 1.8804 5.9573
-3.2569 1.8804 5.9573
0.0000 -3.7608 5.9573
Li Tl Cl
3 1 6
Direct
0.0000 0.0000 0.0000 Li
0.2049 0.2049 0.2049 Li
0.7060 0.7060 0.7060 Li
0.5123 0.5123 0.5123 Tl
0.1045 0.4187 0.7996 Cl
0.2992 0.9277 0.6010 Cl
0.4187 0.7996 0.1045 Cl
0.6010 0.2992 0.9277 Cl
0.7996 0.1045 0.4187 Cl
0.9277 0.6010 0.2992 Cl
```